Simulated X-ray powder pattern of BaCdIn4 for Cu Kα, 1.54184 Å, from a cell relaxed with GGA-PBE.
Peak positions follow from Bragg's law for the DFT cell and can differ from measured ones.

Main lines, by intensity (10° ≤ 2θ ≤ 80°):
| h k l | 2θ/deg | I_rel |
| --- | --- | --- |
| 0 4 1 | 28.79 | 100 |
| 2 3 1 | 31.91 | 46 |
| 1 4 1 | 30.33 | 38 |
| 0 0 2 | 43.48 | 34 |
| 0 8 1 | 44.74 | 27 |
| 0 8 0 | 38.83 | 26 |
| 2 5 0 | 30.44 | 25 |
| 1 3 1 | 27.45 | 24 |

Cell and atoms:
abc: 9.616 18.540 4.163
angles: 90.00 90.00 90.00
Space group Pbam (No. 55)
Unique sites:
Ba: 0.125 0.150 0.000 x4
Cd: 0.129 0.414 0.000 x4
In: 0.022 0.695 0.500 x4
In: 0.119 0.548 0.500 x4
In: 0.131 0.963 0.500 x4
In: 0.216 0.811 0.500 x4